(1)
Structure and simulated powder diffractogram of SbN (a crystal structure in the Materials Project, relaxed with GGA-PBE; Cu Kα, 1.54184 Å).

Crystal structure
Cell lengths 3.322, 3.910, 5.992 Å; angles 91.31, 91.55, 90.22 degrees
Sites, in units of the cell vectors:
Sb1 0.000 0.000 0.000
Sb2 0.480 0.484 0.586
N1 0.495 0.685 0.917
N2 0.983 0.175 0.670

Most intense lines, 10° ≤ 2θ ≤ 90°, sorted by position:
- 2θ 14.79, 5.988 Å, I 64
- 2θ 26.95, 3.308 Å, I 100
- 2θ 27.53, 3.239 Å, I 100
- 2θ 29.84, 2.994 Å, I 66
- 2θ 30.42, 2.938 Å, I 65
- 2θ 31.15, 2.871 Å, I 65
- 2θ 35.39, 2.537 Å, I 63
- 2θ 35.55, 2.526 Å, I 62
- 2θ 46.46, 1.955 Å, I 23
- 2θ 56.80, 1.621 Å, I 27


(2)
Structure and simulated powder diffractogram of MgSi (a crystal structure in the Materials Project, relaxed with GGA-PBE; Cu Kα, 1.54184 Å).

Crystal structure
Cell lengths 4.952, 5.628, 9.051 Å; angles 95.17, 97.76, 105.16 degrees
Sites, in units of the cell vectors:
Mg1 0.000 0.000 0.000
Mg2 0.040 0.726 0.435
Mg3 0.183 0.547 0.018
Mg4 0.249 0.260 0.714
Mg5 0.386 0.360 0.343
Mg6 0.636 0.873 0.647
Si1 0.126 0.740 0.751
Si2 0.531 0.993 0.168
Si3 0.607 0.279 0.984
Si4 0.734 0.646 0.166
Si5 0.744 0.390 0.613
Si6 0.854 0.143 0.408

Most intense lines, 10° ≤ 2θ ≤ 90°, sorted by position:
- 2θ 19.81, 4.482 Å, I 53
- 2θ 29.81, 2.997 Å, I 64
- 2θ 30.16, 2.963 Å, I 50
- 2θ 31.66, 2.826 Å, I 100
- 2θ 33.47, 2.678 Å, I 64
- 2θ 35.33, 2.540 Å, I 91
- 2θ 39.66, 2.272 Å, I 54
- 2θ 41.98, 2.152 Å, I 37
- 2θ 44.75, 2.025 Å, I 68
- 2θ 46.12, 1.968 Å, I 47


(3)
Structure and simulated powder diffractogram of Sr3GeO5 (a crystal structure in the Materials Project, relaxed with GGA-PBE; Cu Kα, 1.54184 Å).

Crystal structure
Cell lengths 6.963, 6.963, 11.342 Å; angles 90.00, 90.00, 90.00 degrees
Sites, in units of the cell vectors:
Sr1 0.068 0.568 0.250
Sr2 0.068 0.932 0.750
Sr3 0.250 0.250 0.007
Sr4 0.250 0.250 0.507
Sr5 0.432 0.568 0.750
Sr6 0.432 0.932 0.250
Sr7 0.568 0.068 0.750
Sr8 0.568 0.432 0.250
Sr9 0.750 0.750 0.493
Sr10 0.750 0.750 0.993
Sr11 0.932 0.068 0.250
Sr12 0.932 0.432 0.750
Ge1 0.250 0.750 0.000
Ge2 0.250 0.750 0.500
Ge3 0.750 0.250 0.000
Ge4 0.750 0.250 0.500
O1 0.109 0.610 0.903
O2 0.109 0.890 0.403
O3 0.110 0.609 0.597
O4 0.110 0.891 0.097
O5 0.250 0.250 0.244
O6 0.250 0.250 0.744
O7 0.390 0.609 0.097
O8 0.390 0.891 0.597
O9 0.391 0.610 0.403
O10 0.391 0.890 0.903
O11 0.609 0.110 0.097
O12 0.609 0.390 0.597
O13 0.610 0.109 0.403
O14 0.610 0.391 0.903
O15 0.750 0.750 0.256
O16 0.750 0.750 0.756
O17 0.890 0.109 0.903
O18 0.890 0.391 0.403
O19 0.891 0.110 0.597
O20 0.891 0.390 0.097

Most intense lines, 10° ≤ 2θ ≤ 90°, sorted by position:
- 2θ 29.75, 3.003 Å, I 26
- 2θ 30.12, 2.967 Å, I 100
- 2θ 31.55, 2.835 Å, I 31
- 2θ 36.50, 2.462 Å, I 30
- 2θ 37.42, 2.403 Å, I 48
- 2θ 41.01, 2.201 Å, I 15
- 2θ 49.00, 1.859 Å, I 24
- 2θ 54.98, 1.670 Å, I 12
- 2θ 55.30, 1.661 Å, I 20
- 2θ 60.00, 1.542 Å, I 13


(4)
Structure and simulated powder diffractogram of Sm3CrS6 (a crystal structure in the Materials Project, relaxed with GGA-PBE; Cu Kα, 1.54184 Å).

Crystal structure
Cell lengths 13.468, 16.185, 3.852 Å; angles 90.00, 90.00, 90.00 degrees
Sites, in units of the cell vectors:
Sm1 0.050 0.218 0.000
Sm2 0.181 0.649 0.000
Sm3 0.245 0.903 0.500
Sm4 0.255 0.403 0.000
Sm5 0.319 0.149 0.500
Sm6 0.450 0.718 0.500
Sm7 0.550 0.282 0.500
Sm8 0.681 0.851 0.500
Sm9 0.745 0.597 0.000
Sm10 0.755 0.097 0.500
Sm11 0.819 0.351 0.000
Sm12 0.950 0.782 0.000
Cr1 0.000 0.000 0.500
Cr2 0.000 0.500 0.500
Cr3 0.500 0.000 0.000
Cr4 0.500 0.500 0.000
S1 0.024 0.405 0.000
S2 0.081 0.927 0.000
S3 0.103 0.755 0.500
S4 0.121 0.105 0.500
S5 0.177 0.521 0.500
S6 0.186 0.289 0.500
S7 0.314 0.789 0.000
S8 0.323 0.021 0.000
S9 0.379 0.605 0.000
S10 0.397 0.255 0.000
S11 0.419 0.427 0.500
S12 0.476 0.905 0.500
S13 0.524 0.095 0.500
S14 0.581 0.573 0.500
S15 0.603 0.745 0.000
S16 0.621 0.395 0.000
S17 0.677 0.979 0.000
S18 0.686 0.211 0.000
S19 0.814 0.711 0.500
S20 0.823 0.479 0.500
S21 0.879 0.895 0.500
S22 0.897 0.245 0.500
S23 0.919 0.073 0.000
S24 0.976 0.595 0.000

Most intense lines, 10° ≤ 2θ ≤ 90°, sorted by position:
- 2θ 25.69, 3.468 Å, I 87
- 2θ 26.47, 3.368 Å, I 65
- 2θ 27.05, 3.296 Å, I 48
- 2θ 27.23, 3.275 Å, I 52
- 2θ 31.48, 2.842 Å, I 47
- 2θ 34.81, 2.577 Å, I 45
- 2θ 34.91, 2.570 Å, I 100
- 2θ 36.25, 2.478 Å, I 65
- 2θ 41.28, 2.187 Å, I 68
- 2θ 47.19, 1.926 Å, I 52


(5)
Structure and simulated powder diffractogram of KMnAg3C6N6 (a crystal structure in the Materials Project, relaxed with GGA-PBE; Cu Kα, 1.54184 Å).

Crystal structure
Cell lengths 6.971, 6.971, 8.161 Å; angles 90.00, 90.00, 120.00 degrees
Sites, in units of the cell vectors:
K1 0.000 0.000 0.000
Mn1 0.333 0.667 0.000
Ag1 0.344 0.172 0.500
Ag2 0.828 0.172 0.500
Ag3 0.828 0.656 0.500
C1 0.338 0.014 0.285
C2 0.338 0.324 0.715
C3 0.676 0.014 0.715
C4 0.676 0.662 0.285
C5 0.986 0.324 0.285
C6 0.986 0.662 0.715
N1 0.081 0.410 0.164
N2 0.081 0.671 0.836
N3 0.329 0.410 0.836
N4 0.329 0.919 0.164
N5 0.590 0.671 0.164
N6 0.590 0.919 0.836

Most intense lines, 10° ≤ 2θ ≤ 90°, sorted by position:
- 2θ 10.84, 8.161 Å, I 72
- 2θ 18.28, 4.853 Å, I 100
- 2θ 21.78, 4.080 Å, I 39
- 2θ 27.83, 3.205 Å, I 63
- 2θ 29.60, 3.018 Å, I 63
- 2θ 31.60, 2.831 Å, I 87
- 2θ 37.05, 2.427 Å, I 81
- 2θ 44.86, 2.021 Å, I 24
- 2θ 54.27, 1.690 Å, I 26
- 2θ 57.51, 1.603 Å, I 31


(6)
Structure and simulated powder diffractogram of Nb4Ni2C (a crystal structure in the Materials Project, relaxed with GGA-PBE; Cu Kα, 1.54184 Å).

Crystal structure
Cell lengths 8.293, 8.293, 8.293 Å; angles 60.00, 60.00, 60.00 degrees
Sites, in units of the cell vectors:
Nb1 0.000 0.000 0.000
Nb2 0.000 0.000 0.500
Nb3 0.000 0.500 0.000
Nb4 0.191 0.191 0.559
Nb5 0.191 0.559 0.191
Nb6 0.191 0.559 0.559
Nb7 0.441 0.441 0.809
Nb8 0.441 0.809 0.441
Nb9 0.441 0.809 0.809
Nb10 0.500 0.000 0.000
Nb11 0.559 0.191 0.191
Nb12 0.559 0.191 0.559
Nb13 0.559 0.559 0.191
Nb14 0.809 0.441 0.441
Nb15 0.809 0.441 0.809
Nb16 0.809 0.809 0.441
Ni1 0.115 0.795 0.795
Ni2 0.205 0.205 0.205
Ni3 0.205 0.205 0.885
Ni4 0.205 0.885 0.205
Ni5 0.795 0.115 0.795
Ni6 0.795 0.795 0.115
Ni7 0.795 0.795 0.795
Ni8 0.885 0.205 0.205
C1 0.000 0.500 0.500
C2 0.500 0.000 0.500
C3 0.500 0.500 0.000
C4 0.500 0.500 0.500

Most intense lines, 10° ≤ 2θ ≤ 90°, sorted by position:
- 2θ 33.30, 2.691 Å, I 23
- 2θ 37.57, 2.394 Å, I 40
- 2θ 39.94, 2.257 Å, I 100
- 2θ 43.66, 2.073 Å, I 24
- 2θ 46.46, 1.955 Å, I 7
- 2θ 51.70, 1.768 Å, I 9
- 2θ 65.10, 1.433 Å, I 8
- 2θ 67.80, 1.382 Å, I 37
- 2θ 69.40, 1.354 Å, I 9
- 2θ 81.69, 1.179 Å, I 19